# AlPd4Au3
Calculated PXRD pattern, copper Kα. Input: a crystal structure in Alexandria, relaxed with GGA-PBE.

Top 10 peaks for 2θ from 10° to 90°, sorted by position:
22.13 deg, rel. 11.2
32.66 deg, rel. 6.4
39.02 deg, rel. 100.0
43.36 deg, rel. 37.6
49.19 deg, rel. 15.3
62.99 deg, rel. 12.4
67.62 deg, rel. 19.7
76.64 deg, rel. 27.9
83.81 deg, rel. 11.2
85.17 deg, rel. 9.9

abc: 7.977 7.976 4.174
angles: 74.85 74.81 30.33
Fractional positions:
Al 0.000 0.000 0.000
Pd 0.118 0.118 0.382
Pd 0.382 0.382 0.118
Pd 0.618 0.618 0.882
Pd 0.882 0.882 0.618
Au 0.251 0.251 0.749
Au 0.500 0.500 0.500
Au 0.749 0.749 0.251

# RbBe2Fe
Calculated PXRD pattern, copper Kα. Input: a crystal structure in Alexandria, relaxed with GGA-PBE.

Top 10 peaks for 2θ from 10° to 90°, sorted by position:
23.11 deg, rel. 35.5
28.74 deg, rel. 100.0
37.47 deg, rel. 24.1
44.25 deg, rel. 29.5
44.48 deg, rel. 29.0
59.53 deg, rel. 13.7
61.79 deg, rel. 10.5
62.35 deg, rel. 20.3
66.71 deg, rel. 8.2
72.32 deg, rel. 12.9

abc: 4.800 4.800 15.395
angles: 90.00 90.00 90.00
Fractional positions:
Rb 0.000 0.250 0.375
Rb 0.000 0.750 0.625
Rb 0.500 0.250 0.125
Rb 0.500 0.750 0.875
Be 0.000 0.000 0.000
Be 0.000 0.500 0.000
Be 0.250 0.250 0.750
Be 0.250 0.750 0.250
Be 0.500 0.000 0.500
Be 0.500 0.500 0.500
Be 0.750 0.250 0.750
Be 0.750 0.750 0.250
Fe 0.000 0.250 0.875
Fe 0.000 0.750 0.125
Fe 0.500 0.250 0.625
Fe 0.500 0.750 0.375

# PmSm6Dy3
Calculated PXRD pattern, copper Kα. Input: a crystal structure in Alexandria, relaxed with GGA-PBE.

Top 10 peaks for 2θ from 10° to 90°, sorted by position:
28.40 deg, rel. 59.1
28.70 deg, rel. 34.4
28.92 deg, rel. 24.3
30.77 deg, rel. 59.2
31.08 deg, rel. 100.0
31.82 deg, rel. 54.7
32.45 deg, rel. 38.1
33.32 deg, rel. 58.5
34.18 deg, rel. 26.3
56.59 deg, rel. 29.7

abc: 11.717 11.717 6.451
angles: 90.00 90.00 130.77
Fractional positions:
Pm 0.159 0.841 0.500
Pm 0.841 0.159 0.000
Sm 0.015 0.985 0.296
Sm 0.107 0.544 0.819
Sm 0.261 0.380 0.065
Sm 0.301 0.699 0.289
Sm 0.380 0.261 0.565
Sm 0.456 0.893 0.819
Sm 0.544 0.107 0.319
Sm 0.620 0.739 0.065
Sm 0.699 0.301 0.789
Sm 0.739 0.620 0.565
Sm 0.893 0.456 0.319
Sm 0.985 0.015 0.796
Dy 0.041 0.295 0.476
Dy 0.295 0.041 0.976
Dy 0.419 0.581 0.586
Dy 0.581 0.419 0.086
Dy 0.705 0.959 0.476
Dy 0.959 0.705 0.976

# Rb2HoInSe4
Calculated PXRD pattern, copper Kα. Input: a crystal structure in Alexandria, relaxed with GGA-PBE.

Top 10 peaks for 2θ from 10° to 90°, sorted by position:
12.30 deg, rel. 30.4
24.74 deg, rel. 12.8
28.41 deg, rel. 52.6
28.77 deg, rel. 100.0
37.63 deg, rel. 10.2
40.87 deg, rel. 71.7
41.13 deg, rel. 34.6
50.75 deg, rel. 35.1
66.75 deg, rel. 13.6
67.30 deg, rel. 12.5

abc: 8.832 8.832 8.832
angles: 120.46 120.34 89.30
Fractional positions:
Rb 0.000 0.000 0.000
Rb 0.500 0.000 0.000
Rb 0.500 0.000 0.500
Rb 0.500 0.500 0.500
Ho 0.000 0.000 0.500
Ho 0.000 0.500 0.000
In 0.000 0.500 0.500
In 0.500 0.500 0.000
Se 0.200 0.734 0.466
Se 0.232 0.266 0.966
Se 0.234 0.273 0.539
Se 0.234 0.694 0.961
Se 0.766 0.306 0.039
Se 0.766 0.727 0.461
Se 0.768 0.734 0.034
Se 0.800 0.266 0.534

# NbV5Re4
Calculated PXRD pattern, copper Kα. Input: a crystal structure in Alexandria, relaxed with GGA-PBE.

Top 10 peaks for 2θ from 10° to 90°, sorted by position:
28.87 deg, rel. 19.2
29.28 deg, rel. 37.0
41.58 deg, rel. 100.0
41.88 deg, rel. 49.8
51.66 deg, rel. 16.5
59.81 deg, rel. 8.0
60.72 deg, rel. 16.3
67.96 deg, rel. 7.5
75.67 deg, rel. 15.9
76.28 deg, rel. 32.6

abc: 3.051 3.051 15.463
angles: 90.00 90.00 90.00
Fractional positions:
Nb 0.000 0.000 0.000
V 0.500 0.500 0.109
V 0.500 0.500 0.304
V 0.500 0.500 0.500
V 0.500 0.500 0.696
V 0.500 0.500 0.891
Re 0.000 0.000 0.205
Re 0.000 0.000 0.402
Re 0.000 0.000 0.598
Re 0.000 0.000 0.795

# HfMnIn
Calculated PXRD pattern, copper Kα. Input: a crystal structure in Alexandria, relaxed with GGA-PBE.

Top 10 peaks for 2θ from 10° to 90°, sorted by position:
29.55 deg, rel. 31.3
33.37 deg, rel. 15.5
38.05 deg, rel. 100.0
40.50 deg, rel. 50.7
53.45 deg, rel. 16.7
58.61 deg, rel. 16.7
67.05 deg, rel. 15.9
67.95 deg, rel. 10.2
69.15 deg, rel. 7.8
72.04 deg, rel. 29.5

abc: 4.456 10.741 4.454
angles: 90.00 90.00 90.00
Fractional positions:
Hf 0.000 0.111 0.250
Hf 0.000 0.889 0.750
Hf 0.500 0.389 0.750
Hf 0.500 0.611 0.250
Mn 0.000 0.243 0.750
Mn 0.000 0.757 0.250
Mn 0.500 0.257 0.250
Mn 0.500 0.743 0.750
In 0.000 0.397 0.250
In 0.000 0.603 0.750
In 0.500 0.103 0.750
In 0.500 0.897 0.250

# VGeS4
Calculated PXRD pattern, copper Kα. Input: a crystal structure in Alexandria, relaxed with GGA-PBE.

Top 10 peaks for 2θ from 10° to 90°, sorted by position:
18.22 deg, rel. 100.0
29.01 deg, rel. 99.2
31.87 deg, rel. 14.6
36.91 deg, rel. 22.5
45.64 deg, rel. 42.1
49.57 deg, rel. 45.8
54.97 deg, rel. 26.5
60.10 deg, rel. 17.9
61.82 deg, rel. 9.7
87.28 deg, rel. 18.6

abc: 5.624 5.624 9.723
angles: 90.00 90.00 90.00
Fractional positions:
V 0.000 0.000 0.000
V 0.500 0.500 0.500
Ge 0.000 0.500 0.250
Ge 0.500 0.000 0.750
S 0.222 0.243 0.123
S 0.243 0.778 0.877
S 0.257 0.722 0.377
S 0.278 0.257 0.623
S 0.722 0.743 0.623
S 0.743 0.278 0.377
S 0.757 0.222 0.877
S 0.778 0.757 0.123

# ErNi12B6
Calculated PXRD pattern, copper Kα. Input: a crystal structure in Alexandria, relaxed with GGA-PBE.

Top 10 peaks for 2θ from 10° to 90°, sorted by position:
31.24 deg, rel. 8.9
32.67 deg, rel. 44.4
41.45 deg, rel. 100.0
46.88 deg, rel. 14.1
49.91 deg, rel. 12.8
58.30 deg, rel. 15.7
61.79 deg, rel. 12.7
64.34 deg, rel. 10.8
83.29 deg, rel. 11.0
87.10 deg, rel. 10.4

abc: 6.006 6.006 6.006
angles: 104.49 104.49 104.49
Fractional positions:
Er 0.000 0.000 0.000
Ni 0.130 0.500 0.870
Ni 0.130 0.870 0.500
Ni 0.186 0.452 0.452
Ni 0.452 0.186 0.452
Ni 0.452 0.452 0.186
Ni 0.500 0.130 0.870
Ni 0.500 0.870 0.130
Ni 0.548 0.548 0.814
Ni 0.548 0.814 0.548
Ni 0.814 0.548 0.548
Ni 0.870 0.130 0.500
Ni 0.870 0.500 0.130
B 0.236 0.236 0.673
B 0.236 0.673 0.236
B 0.327 0.764 0.764
B 0.673 0.236 0.236
B 0.764 0.327 0.764
B 0.764 0.764 0.327

# CeZnGa3Au
Calculated PXRD pattern, copper Kα. Input: a crystal structure in Alexandria, relaxed with GGA-PBE.

Top 10 peaks for 2θ from 10° to 90°, sorted by position:
24.03 deg, rel. 72.7
29.66 deg, rel. 45.5
31.93 deg, rel. 69.2
33.69 deg, rel. 81.0
35.32 deg, rel. 51.3
38.03 deg, rel. 65.4
38.52 deg, rel. 62.8
40.97 deg, rel. 51.7
45.15 deg, rel. 100.0
45.49 deg, rel. 56.3

abc: 8.109 8.109 6.024
angles: 90.00 90.00 141.19
Fractional positions:
Ce 0.183 0.817 0.750
Ce 0.817 0.183 0.250
Zn 0.381 0.619 0.750
Zn 0.619 0.381 0.250
Ga 0.229 0.229 0.000
Ga 0.229 0.229 0.500
Ga 0.390 0.610 0.250
Ga 0.610 0.390 0.750
Ga 0.771 0.771 0.000
Ga 0.771 0.771 0.500
Au 0.168 0.832 0.250
Au 0.832 0.168 0.750

# Ba2CoTe
Calculated PXRD pattern, copper Kα. Input: a crystal structure in Alexandria, relaxed with GGA-PBE.

Top 10 peaks for 2θ from 10° to 90°, sorted by position:
22.32 deg, rel. 17.6
27.03 deg, rel. 48.2
31.08 deg, rel. 100.0
36.26 deg, rel. 22.5
40.27 deg, rel. 27.9
43.33 deg, rel. 13.5
51.66 deg, rel. 15.8
51.82 deg, rel. 15.7
55.30 deg, rel. 21.8
62.03 deg, rel. 13.5

abc: 4.176 4.954 13.266
angles: 90.00 90.00 90.00
Fractional positions:
Ba 0.000 0.000 0.000
Ba 0.000 0.500 0.225
Ba 0.500 0.000 0.725
Ba 0.500 0.500 0.500
Co 0.000 0.000 0.441
Co 0.500 0.500 0.941
Te 0.000 0.500 0.818
Te 0.500 0.000 0.318

# CsPuBi2O6
Calculated PXRD pattern, copper Kα. Input: a crystal structure in Alexandria, relaxed with GGA-PBE.

Top 10 peaks for 2θ from 10° to 90°, sorted by position:
14.56 deg, rel. 19.8
19.32 deg, rel. 19.5
25.73 deg, rel. 90.9
29.09 deg, rel. 100.0
29.69 deg, rel. 30.9
39.22 deg, rel. 28.1
41.81 deg, rel. 27.4
49.56 deg, rel. 31.7
51.56 deg, rel. 24.8
54.22 deg, rel. 35.9

abc: 7.040 7.040 7.040
angles: 51.71 51.71 51.71
Fractional positions:
Cs 0.000 0.000 0.000
Pu 0.542 0.542 0.542
Bi 0.217 0.217 0.217
Bi 0.756 0.756 0.756
O 0.147 0.546 0.748
O 0.403 0.928 0.504
O 0.504 0.403 0.928
O 0.546 0.748 0.147
O 0.748 0.147 0.546
O 0.928 0.504 0.403